1.
Starting from a cell relaxed with PBE, the powder XRD pattern of KRb2HI6 was calculated for a wavelength of 1.5418 Å.
Kinematic intensities with the Lorentz-polarization factor, no thermal factor.

Top 10 peaks for 15° ≤ 2θ ≤ 90°, low angle first:
Position (°2θ)  d/Å  I_rel
24.17  3.683  38
25.30  3.521  100
25.57  3.484  10
31.56  2.835  31
34.10  2.629  13
40.15  2.246  29
43.21  2.094  21
45.84  1.979  8
51.94  1.760  10
52.54  1.742  14

Structural model:
Unit cell a=9.2942 b=9.2942 c=9.2942 alpha=128.90 beta=128.90 gamma=75.17
Fractional coordinates of all 10 atoms:
K  0.0000  0.0000  0.0000
Rb  0.2500  0.7500  0.5000
Rb  0.7500  0.2500  0.5000
H  0.5000  0.5000  0.0000
I  0.2322  0.2322  0.0000
I  0.2921  0.2921  0.5841
I  0.2921  0.7079  0.0000
I  0.7079  0.2921  0.0000
I  0.7079  0.7079  0.4159
I  0.7678  0.7678  0.0000

---

2.
Starting from a cell relaxed with PBE, the powder XRD pattern of LaH2I4 was calculated for a wavelength of 1.5418 Å.
Kinematic intensities with the Lorentz-polarization factor, no thermal factor.

Top 10 peaks for 15° ≤ 2θ ≤ 90°, low angle first:
Position (°2θ)  d/Å  I_rel
18.76  4.731  20
22.35  3.978  27
23.63  3.766  47
28.52  3.129  100
28.70  3.111  53
36.26  2.477  28
36.53  2.460  76
46.88  1.938  27
50.73  1.800  20
56.09  1.640  22

Structural model:
Unit cell a=8.3336 b=8.3336 c=6.2214 alpha=90.00 beta=90.00 gamma=145.41
Fractional coordinates of all 7 atoms:
La  0.0000  0.0000  0.0000
H  0.2174  0.7826  0.5000
H  0.7826  0.2174  0.5000
I  0.1059  0.8941  0.5000
I  0.3700  0.6300  0.0000
I  0.6300  0.3700  0.0000
I  0.8941  0.1059  0.5000